[1]
The following is a computed XRD peak list of Th2As4Pd. It was derived from a DFT-relaxed cell (GGA-PBE, Alexandria), using CuKα.

Cell and atoms:
```
Th2As4Pd
1.0
4.137 0.000 0.000
0.000 4.137 0.000
0.000 0.000 9.469
Th As Pd
2 4 1
direct
0.000 0.500 0.246
0.500 0.000 0.754
0.000 0.000 0.500
0.000 0.500 0.844
0.500 0.000 0.156
0.500 0.500 0.500
0.500 0.500 0.000
```

Principal peaks in the range 5 to 70 degrees two-theta, in order of rising 2θ:
- 2θ 23.47, I = 56
- 2θ 30.56, I = 15
- 2θ 35.78, I = 42
- 2θ 36.09, I = 100
- 2θ 38.01, I = 13
- 2θ 43.77, I = 37
- 2θ 50.25, I = 15
- 2θ 53.19, I = 24
- 2θ 57.77, I = 22
- 2θ 59.33, I = 15

[2]
The following is a computed XRD peak list of SrAc4Tl4. It was derived from a DFT-relaxed cell (GGA-PBE, Alexandria), using CuKα.

Cell and atoms:
```
SrAc4Tl4
1.0
10.382 0.000 0.000
0.000 10.382 0.000
0.000 0.000 6.898
Sr Ac Tl
2 8 8
direct
0.250 0.250 0.250
0.750 0.750 0.750
0.064 0.656 0.134
0.156 0.936 0.634
0.344 0.564 0.634
0.436 0.844 0.134
0.564 0.156 0.866
0.656 0.436 0.366
0.844 0.064 0.366
0.936 0.344 0.866
0.024 0.624 0.624
0.124 0.976 0.124
0.376 0.524 0.124
0.476 0.876 0.624
0.524 0.124 0.376
0.624 0.476 0.876
0.876 0.024 0.876
0.976 0.376 0.376
```

Principal peaks in the range 5 to 70 degrees two-theta, in order of rising 2θ:
- 2θ 12.06, I = 11
- 2θ 17.08, I = 13
- 2θ 27.19, I = 100
- 2θ 32.33, I = 27
- 2θ 36.79, I = 20
- 2θ 38.79, I = 22
- 2θ 40.82, I = 26
- 2θ 44.55, I = 13
- 2θ 60.66, I = 12
- 2θ 63.37, I = 12

[3]
The following is a computed XRD peak list of CsAg2AsS3. It was derived from a DFT-relaxed cell (GGA-PBE, Alexandria), using CuKα.

Cell and atoms:
```
CsAg2AsS3
1.0
10.166 0.000 0.000
0.000 8.571 0.000
-3.098 0.000 9.134
Cs Ag As S
4 8 4 12
direct
0.089 0.067 0.255
0.089 0.433 0.755
0.911 0.567 0.245
0.911 0.933 0.745
0.326 0.527 0.219
0.326 0.973 0.719
0.440 0.246 0.570
0.440 0.254 0.070
0.560 0.746 0.930
0.560 0.754 0.430
0.674 0.027 0.281
0.674 0.473 0.781
0.348 0.645 0.557
0.348 0.855 0.057
0.652 0.145 0.943
0.652 0.355 0.443
0.159 0.721 0.062
0.159 0.779 0.562
0.251 0.082 0.933
0.251 0.418 0.433
0.434 0.528 0.787
0.434 0.972 0.287
0.566 0.028 0.713
0.566 0.472 0.213
0.749 0.582 0.567
0.749 0.918 0.067
0.841 0.221 0.438
0.841 0.279 0.938
```

Principal peaks in the range 5 to 70 degrees two-theta, in order of rising 2θ:
- 2θ 9.19, I = 76
- 2θ 20.68, I = 38
- 2θ 24.10, I = 37
- 2θ 24.46, I = 60
- 2θ 25.72, I = 49
- 2θ 28.33, I = 47
- 2θ 28.56, I = 100
- 2θ 31.08, I = 50
- 2θ 36.57, I = 47
- 2θ 48.49, I = 27

[4]
The following is a computed XRD peak list of Ba4CePu3O12. It was derived from a DFT-relaxed cell (GGA-PBE, Alexandria), using CuKα.

Cell and atoms:
```
Ba4CePu3O12
1.0
-4.428 4.428 4.428
4.428 -4.428 4.428
4.428 4.428 -4.428
Ba Ce Pu O
4 1 3 12
direct
0.000 0.000 0.500
0.000 0.500 0.000
0.500 0.000 0.000
0.500 0.500 0.500
0.000 0.000 0.000
0.000 0.500 0.500
0.500 0.000 0.500
0.500 0.500 0.000
0.000 0.253 0.253
0.000 0.747 0.747
0.250 0.500 0.750
0.250 0.750 0.500
0.253 0.000 0.253
0.253 0.253 0.000
0.500 0.250 0.750
0.500 0.750 0.250
0.747 0.000 0.747
0.747 0.747 0.000
0.750 0.250 0.500
0.750 0.500 0.250
```

Principal peaks in the range 5 to 70 degrees two-theta, in order of rising 2θ:
- 2θ 14.14, I = 3
- 2θ 20.05, I = 10
- 2θ 24.62, I = 1
- 2θ 28.51, I = 100
- 2θ 40.75, I = 28
- 2θ 45.82, I = 5
- 2θ 50.48, I = 43
- 2θ 59.00, I = 18
- 2θ 62.97, I = 2
- 2θ 66.81, I = 19

[5]
The following is a computed XRD peak list of GaPPd4. It was derived from a DFT-relaxed cell (GGA-PBE, Alexandria), using CuKα.

Cell and atoms:
```
GaPPd4
1.0
6.625 0.000 0.000
0.000 3.440 0.000
0.000 0.000 15.637
Ga P Pd
4 4 16
direct
0.243 0.250 0.191
0.257 0.750 0.691
0.743 0.250 0.309
0.757 0.750 0.809
0.249 0.750 0.441
0.251 0.250 0.941
0.749 0.750 0.059
0.751 0.250 0.559
0.015 0.750 0.568
0.046 0.750 0.287
0.126 0.750 0.847
0.132 0.750 0.050
0.368 0.250 0.550
0.374 0.250 0.347
0.454 0.250 0.787
0.485 0.250 0.068
0.515 0.750 0.932
0.546 0.750 0.213
0.626 0.750 0.653
0.632 0.750 0.450
0.868 0.250 0.950
0.874 0.250 0.153
0.954 0.250 0.713
0.985 0.250 0.432
```

Principal peaks in the range 5 to 70 degrees two-theta, in order of rising 2θ:
- 2θ 37.37, I = 100
- 2θ 37.70, I = 42
- 2θ 38.92, I = 22
- 2θ 39.63, I = 22
- 2θ 41.30, I = 27
- 2θ 41.63, I = 43
- 2θ 42.72, I = 19
- 2θ 46.46, I = 13
- 2θ 47.28, I = 25
- 2θ 53.25, I = 26

[6]
The following is a computed XRD peak list of Ba2As2Au. It was derived from a DFT-relaxed cell (GGA-PBE, Alexandria), using CuKα.

Cell and atoms:
```
Ba2As2Au
1.0
6.082 -2.294 0.000
6.082 2.294 0.000
-4.092 0.000 11.027
Ba As Au
4 4 2
direct
0.084 0.084 0.404
0.303 0.303 0.854
0.697 0.697 0.146
0.916 0.916 0.596
0.047 0.047 0.919
0.342 0.342 0.359
0.658 0.658 0.641
0.953 0.953 0.081
0.426 0.426 0.183
0.574 0.574 0.817
```

Principal peaks in the range 5 to 70 degrees two-theta, in order of rising 2θ:
- 2θ 8.02, I = 23
- 2θ 28.10, I = 100
- 2θ 29.40, I = 58
- 2θ 29.86, I = 52
- 2θ 32.48, I = 23
- 2θ 38.39, I = 80
- 2θ 39.27, I = 45
- 2θ 40.36, I = 30
- 2θ 50.10, I = 24
- 2θ 57.11, I = 28